Structure and calculated powder XRD pattern of LiCo3NiO8 (a DFT-relaxed cell (PBE+U, the Materials Project); CuKα).

Top 8 peaks for 5 to 70 degrees two-theta, in order of rising 2θ:
- 17.66 deg, d = 5.022 Å, rel. 1000
- 36.83 deg, d = 2.440 Å, rel. 92
- 36.94 deg, d = 2.433 Å, rel. 89
- 37.07 deg, d = 2.425 Å, rel. 91
- 43.82 deg, d = 2.066 Å, rel. 276
- 44.03 deg, d = 2.057 Å, rel. 134
- 56.71 deg, d = 1.623 Å, rel. 98
- 61.98 deg, d = 1.497 Å, rel. 68

Crystal structure
a = 5.6945 Å, b = 6.0029 Å, c = 9.8598 Å
α = 105.77°, β = 90.39°, γ = 118.28°
Sites, in units of the cell vectors:
Li  0.2473  0.0023  0.2499
Li  0.7527  0.9977  0.7501
Co  0.0000  0.5000  0.0000
Co  0.2361  0.4918  0.7488
Co  0.2603  0.5009  0.2500
Co  0.5000  0.5000  0.5000
Co  0.7397  0.4991  0.7500
Co  0.7639  0.5082  0.2512
Ni  0.0000  0.5000  0.5000
Ni  0.5000  0.5000  0.0000
O  0.0858  0.6864  0.8634
O  0.1085  0.6946  0.3616
O  0.1188  0.2930  0.8748
O  0.1747  0.2995  0.3759
O  0.3443  0.6899  0.1137
O  0.3462  0.6867  0.6164
O  0.3974  0.3060  0.6351
O  0.4174  0.3128  0.1396
O  0.5826  0.6872  0.8604
O  0.6026  0.6940  0.3649
O  0.6538  0.3133  0.3836
O  0.6557  0.3101  0.8863
O  0.8253  0.7005  0.6241
O  0.8812  0.7070  0.1252
O  0.8915  0.3054  0.6384
O  0.9142  0.3136  0.1366